For BaB2H2O5, a cell relaxed with GGA-PBE gives the calculated powder diffraction line list in this record (Cu Kα X-rays).

Crystal structure
a b c (Å): 7.045 7.276 11.937
angles (deg): 90.00 90.96 90.00
Atoms (fractional coordinates):
Ba1 0.000 0.123 0.250
Ba2 0.000 0.877 0.750
Ba3 0.316 0.276 0.552
Ba4 0.316 0.724 0.052
Ba5 0.684 0.276 0.948
Ba6 0.684 0.724 0.448
B1 0.000 0.360 0.750
B2 0.000 0.640 0.250
B3 0.177 0.265 0.934
B4 0.177 0.735 0.434
B5 0.336 0.497 0.301
B6 0.336 0.503 0.801
B7 0.500 0.190 0.250
B8 0.500 0.810 0.750
B9 0.664 0.497 0.199
B10 0.664 0.503 0.699
B11 0.823 0.265 0.566
B12 0.823 0.735 0.066
H1 0.118 0.383 0.093
H2 0.118 0.617 0.593
H3 0.359 0.113 0.102
H4 0.359 0.887 0.602
H5 0.367 0.057 0.883
H6 0.367 0.943 0.383
H7 0.633 0.057 0.617
H8 0.633 0.943 0.117
H9 0.641 0.113 0.398
H10 0.641 0.887 0.898
H11 0.882 0.383 0.407
H12 0.882 0.617 0.907
O1 0.037 0.233 0.846
O2 0.037 0.767 0.346
O3 0.074 0.283 0.043
O4 0.074 0.717 0.543
O5 0.166 0.480 0.726
O6 0.166 0.520 0.226
O7 0.294 0.089 0.950
O8 0.294 0.911 0.450
O9 0.301 0.422 0.915
O10 0.301 0.578 0.415
O11 0.374 0.298 0.320
O12 0.374 0.702 0.820
O13 0.388 0.057 0.176
O14 0.388 0.943 0.676
O15 0.500 0.410 0.750
O16 0.500 0.590 0.250
O17 0.612 0.057 0.324
O18 0.612 0.943 0.824
O19 0.626 0.298 0.180
O20 0.626 0.702 0.680
O21 0.699 0.422 0.585
O22 0.699 0.578 0.085
O23 0.706 0.089 0.550
O24 0.706 0.911 0.050
O25 0.834 0.480 0.774
O26 0.834 0.520 0.274
O27 0.926 0.283 0.457
O28 0.926 0.717 0.957
O29 0.963 0.233 0.654
O30 0.963 0.767 0.154

Most intense lines, 10 to 80 degrees two-theta, sorted by position:
two_theta, I (rel.)
19.0, 68
19.7, 38
24.5, 22
25.5, 100
28.7, 49
29.2, 99
38.3, 24
40.1, 33
42.1, 22
46.0, 22